# NbTc4Au2
Theoretical powder X-ray diffraction pattern, Cu Kα (weighted mean of Kα1 and Kα2). Input: a PBE-relaxed structure.
Lines closer than 0.1° are merged.

Principal peaks in the range 2θ = 10–90°, by angle:
- hkl 0 0 2, 13.3 deg, rel. 23
- hkl 1 1 0, 26.7 deg, rel. 49
- hkl 2 0 0, 38.2 deg, rel. 100
- hkl 1 0 5, 38.9 deg, rel. 62
- hkl 2 2 0, 55.0 deg, rel. 22
- hkl 2 1 5, 55.6 deg, rel. 44
- hkl 3 1 4, 68.9 deg, rel. 13
- hkl 3 2 5, 82.0 deg, rel. 14

Structure:
```
data_NbTc4Au2
_chemical_formula_sum 'Nb2 Tc8 Au4'
_cell_length_a 4.7216
_cell_length_b 4.7216
_cell_length_c 13.2938
_cell_angle_alpha 90.00
_cell_angle_beta 90.00
_cell_angle_gamma 90.00
_symmetry_space_group_name_H-M 'P 1'
_symmetry_Int_Tables_number 1
loop_
_symmetry_equiv_pos_as_xyz
'x,y,z'
loop_
_atom_site_label
_atom_site_type_symbol
_atom_site_fract_x
_atom_site_fract_y
_atom_site_fract_z
Nb1 Nb 0.0000 0.0000 0.0000
Nb2 Nb 0.5000 0.5000 0.5000
Tc1 Tc 0.0000 0.0000 0.1884
Tc2 Tc 0.0000 0.0000 0.8116
Tc3 Tc 0.0000 0.5000 0.0000
Tc4 Tc 0.0000 0.5000 0.5000
Tc5 Tc 0.5000 0.0000 0.0000
Tc6 Tc 0.5000 0.0000 0.5000
Tc7 Tc 0.5000 0.5000 0.3116
Tc8 Tc 0.5000 0.5000 0.6884
Au1 Au 0.0000 0.0000 0.3864
Au2 Au 0.0000 0.0000 0.6136
Au3 Au 0.5000 0.5000 0.1136
Au4 Au 0.5000 0.5000 0.8864
```